[1]
For SrTbAl2, a PBE-relaxed structure gives the simulated powder diffractogram in this record (Cu Ka).

Main lines, in order of falling intensity (2θ from 10° to 90°):
(hkl)	d (Å)	2θ/deg	I_rel
1 0 2	2.674	33.5	100
1 1 0	2.661	33.7	51
1 0 0	3.763	23.6	50
2 1 2	1.539	60.1	37
0 0 2	3.801	23.4	27
1 1 2	2.180	41.4	25
0 0 1	7.603	11.6	22
2 0 0	1.882	48.4	18
1 1 4	1.547	59.8	17
3 1 0	1.191	80.7	16

Crystal structure
```
data_SrTbAl2
_chemical_formula_sum 'Sr1 Tb1 Al2'
_symmetry_space_group_name_H-M 'P 4/m m m'
_symmetry_Int_Tables_number 123
_symmetry_space_group_name_Hall '-P 4 2'
_cell_length_a 3.7632
_cell_length_b 3.7632
_cell_length_c 7.6027
_cell_angle_alpha 90.00
_cell_angle_beta 90.00
_cell_angle_gamma 90.00
loop_
_atom_site_label
_atom_site_type_symbol
_atom_site_fract_x
_atom_site_fract_y
_atom_site_fract_z
Sr1 Sr 0.0000 0.0000 0.0000
Tb1 Tb 0.0000 0.0000 0.5000
Al1 Al 0.5000 0.5000 0.2846
```

---

[2]
For Pr8HRh5, a PBE-relaxed structure gives the simulated powder diffractogram in this record (Cu Ka).

Main lines, in order of falling intensity (2θ from 10° to 90°):
(hkl)	d (Å)	2θ/deg	I_rel
3 1 0	2.796	32.0	100
1 0 3	2.860	31.3	44
2 1 3	2.400	37.5	35
2 0 2	3.163	28.2	22
2 3 1	2.365	38.1	21
3 4 1	1.734	52.8	17
1 3 2	2.378	37.8	17
2 2 0	3.122	28.6	16
1 3 4	1.760	52.0	15
1 4 3	1.748	52.3	15

Crystal structure
```
data_Pr8HRh5
_chemical_formula_sum 'Pr16 H2 Rh10'
_symmetry_space_group_name_H-M 'I -4'
_symmetry_Int_Tables_number 82
_cell_length_a 8.8314
_cell_length_b 8.8314
_cell_length_c 9.0686
_cell_angle_alpha 90.00
_cell_angle_beta 90.00
_cell_angle_gamma 90.00
loop_
_symmetry_equiv_pos_as_xyz
'x,y,z'
'y,-x,-z'
'-x,-y,z'
'-y,x,-z'
'x+1/2,y+1/2,z+1/2'
'y+1/2,-x+1/2,-z+1/2'
'-x+1/2,-y+1/2,z+1/2'
'-y+1/2,x+1/2,-z+1/2'
loop_
_atom_site_label
_atom_site_type_symbol
_atom_site_fract_x
_atom_site_fract_y
_atom_site_fract_z
Pr1 Pr 0.0534 0.3003 0.0600
Pr2 Pr 0.0634 0.1964 0.6667
H1 H 0.0000 0.0000 0.0000
Rh1 Rh 0.0000 0.5000 0.7500
Rh2 Rh 0.1238 0.2536 0.3644
```

---

[3]
For Sm5Er12Tm2, a PBE-relaxed structure gives the simulated powder diffractogram in this record (Cu Ka).

Main lines, in order of falling intensity (2θ from 10° to 90°):
(hkl)	d (Å)	2θ/deg	I_rel
0 3 3	2.865	31.2	100
1 0 -3	2.799	32.0	85
1 3 0	2.708	33.1	82
1 -3 0	2.748	32.6	57
1 -2 1	3.202	27.9	37
2 1 1	2.927	30.5	37
1 0 3	3.021	29.6	29
1 1 4	2.530	35.5	26
-2 1 1	2.817	31.8	23
1 -1 3	2.613	34.3	18

Crystal structure
```
data_Sm5Er12Tm2
_chemical_formula_sum 'Sm5 Er12 Tm2'
_symmetry_space_group_name_H-M 'P -1'
_symmetry_Int_Tables_number 2
_cell_length_a 6.1168
_cell_length_b 9.9417
_cell_length_c 10.7999
_cell_angle_alpha 67.14
_cell_angle_beta 84.82
_cell_angle_gamma 89.00
loop_
_symmetry_equiv_pos_as_xyz
'x,y,z'
'-x,-y,-z'
loop_
_atom_site_label
_atom_site_type_symbol
_atom_site_fract_x
_atom_site_fract_y
_atom_site_fract_z
Sm1 Sm 0.0000 0.0000 0.0000
Sm2 Sm 0.0966 0.9856 0.3401
Sm3 Sm 0.4240 0.5080 0.1659
Er1 Er 0.0671 0.6766 0.6655
Er2 Er 0.0945 0.3073 0.7392
Er3 Er 0.1165 0.3271 0.0310
Er4 Er 0.3887 0.8334 0.8279
Er5 Er 0.4110 0.1763 0.5061
Er6 Er 0.4547 0.8519 0.1512
Tm1 Tm 0.2716 0.5517 0.4457
```